Record 1
Structure and theoretical powder diffractogram of InSb4Au8 (a GGA-PBE-relaxed structure; Cu Kα (weighted mean of Kα1 and Kα2)).
Kinematic intensities with the Lorentz-polarization factor, no thermal factor.

Largest 10 diffraction maxima, low angle first, 10° ≤ 2θ ≤ 80°:
d_spacing	I (rel.)	(hkl)
5.530	51	1 0 0
3.078	88	2 1 0
2.963	94	2 0 1
2.830	62	1 2 -1
2.813	100	1 2 2
2.601	51	1 1 -2
2.394	81	0 0 3
2.278	63	1 3 1
2.175	51	3 1 2
2.099	51	-1 2 1

Structure:
Cell: 6.7381 6.9926 7.8579 Å, 78.49 66.09 61.62°
Fractional coordinates of all 13 atoms:
In 0.0000 0.0000 0.0000
Sb 0.0175 0.3833 0.1785
Sb 0.2782 0.6507 0.3619
Sb 0.7218 0.3493 0.6381
Sb 0.9825 0.6167 0.8215
Au 0.1717 0.2335 0.6451
Au 0.3646 0.7729 0.6545
Au 0.3803 0.0054 0.2946
Au 0.4783 0.7252 0.9899
Au 0.5217 0.2748 0.0101
Au 0.6197 0.9946 0.7054
Au 0.6354 0.2271 0.3455
Au 0.8283 0.7665 0.3549

***

Record 2
Structure and theoretical powder diffractogram of Pr5ErAl2 (a GGA-PBE-relaxed structure; Cu Kα (weighted mean of Kα1 and Kα2)).
Kinematic intensities with the Lorentz-polarization factor, no thermal factor.

Largest 10 diffraction maxima, low angle first, 10° ≤ 2θ ≤ 80°:
d_spacing	I (rel.)	(hkl)
3.870	19	1 0 3
3.452	58	1 0 4
3.071	16	1 0 5
2.742	57	1 0 6
2.732	100	1 1 0
2.142	16	2 0 4
1.935	21	2 0 6
1.686	15	2 1 4
1.623	31	1 1 10
1.578	41	3 0 0

Structure:
Cell: 5.4642 5.4642 20.1821 Å, 90.00 90.00 120.00°
Fractional coordinates of all 16 atoms:
Pr 0.0000 0.0000 0.1548
Pr 0.0000 0.0000 0.3452
Pr 0.0000 0.0000 0.6548
Pr 0.0000 0.0000 0.8452
Pr 0.3333 0.6667 0.0544
Pr 0.3333 0.6667 0.2500
Pr 0.3333 0.6667 0.4456
Pr 0.6667 0.3333 0.5544
Pr 0.6667 0.3333 0.7500
Pr 0.6667 0.3333 0.9456
Er 0.3333 0.6667 0.7500
Er 0.6667 0.3333 0.2500
Al 0.3333 0.6667 0.6022
Al 0.3333 0.6667 0.8978
Al 0.6667 0.3333 0.1022
Al 0.6667 0.3333 0.3978

***

Record 3
Structure and theoretical powder diffractogram of MnAgH (a GGA-PBE-relaxed structure; Cu Kα (weighted mean of Kα1 and Kα2)).
Kinematic intensities with the Lorentz-polarization factor, no thermal factor.

Largest 10 diffraction maxima, low angle first, 10° ≤ 2θ ≤ 80°:
d_spacing	I (rel.)	(hkl)
2.890	42	0 0 12
2.633	54	1 0 3
2.374	73	1 0 7
2.214	100	1 0 9
2.168	32	0 0 16
1.900	56	1 1 2
1.815	22	1 1 6
1.674	30	1 1 10
1.357	28	1 1 18
1.352	21	2 0 0

Structure:
Cell: 2.7040 2.7040 34.6847 Å, 90.00 90.00 90.00°
Fractional coordinates of all 24 atoms:
Mn 0.2413 0.2589 0.1033
Mn 0.2413 0.7411 0.3967
Mn 0.2589 0.2413 0.6467
Mn 0.2589 0.7587 0.8533
Mn 0.7411 0.2413 0.3533
Mn 0.7411 0.7587 0.1467
Mn 0.7587 0.2589 0.8967
Mn 0.7587 0.7411 0.6033
Ag 0.2402 0.2525 0.2137
Ag 0.2402 0.7475 0.2863
Ag 0.2525 0.2402 0.5363
Ag 0.2525 0.7598 0.9637
Ag 0.7475 0.2402 0.4637
Ag 0.7475 0.7598 0.0363
Ag 0.7598 0.2525 0.7863
Ag 0.7598 0.7475 0.7137
H 0.2413 0.2586 0.1535
H 0.2413 0.7414 0.3465
H 0.2586 0.2413 0.5965
H 0.2586 0.7587 0.9035
H 0.7414 0.2413 0.4035
H 0.7414 0.7587 0.0965
H 0.7587 0.2586 0.8465
H 0.7587 0.7414 0.6535